# 1
Simulated powder X-ray diffraction pattern of NdMg6Sc for Cu Kα X-rays, from a crystal structure in Alexandria, relaxed with GGA-PBE.

Crystal structure
```
data_NdMg6Sc
_chemical_formula_sum 'Nd2 Mg12 Sc2'
_cell_length_a 9.375
_cell_length_b 9.385
_cell_length_c 4.532
_cell_angle_alpha 90.00
_cell_angle_beta 90.00
_cell_angle_gamma 90.00
_symmetry_space_group_name_H-M 'C m m m'
_symmetry_Int_Tables_number 65
_symmetry_space_group_name_Hall '-C 2 2'
loop_
_atom_site_label
_atom_site_fract_x
_atom_site_fract_y
_atom_site_fract_z
_atom_site_occupancy
Nd1 0.000 0.000 0.000 1
Mg1 0.000 0.259 0.500 1
Mg2 0.241 0.500 0.500 1
Mg3 0.250 0.250 0.000 1
Sc1 0.000 0.500 0.000 1
```

Top 8 peaks for 2θ = 10–90°, sorted by position:
- 2θ 13.3, I 31, hkl 1 1 0
- 2θ 18.9, I 33, hkl 2 0 0
- 2θ 23.8, I 22, hkl 1 1 1
- 2θ 27.4, I 27, hkl 2 0 1
- 2θ 33.5, I 100, hkl 2 2 1
- 2θ 38.4, I 34, hkl 4 0 0
- 2θ 56.5, I 21, hkl 4 0 2
- 2θ 66.3, I 25, hkl 6 2 1

=====

# 2
Simulated powder X-ray diffraction pattern of ZnP2O6 for Cu Kα X-rays, from a crystal structure in Alexandria, relaxed with GGA-PBE.

Crystal structure
```
data_ZnP2O6
_chemical_formula_sum 'Zn8 P16 O48'
_cell_length_a 7.783
_cell_length_b 7.763
_cell_length_c 16.785
_cell_angle_alpha 90.00
_cell_angle_beta 91.69
_cell_angle_gamma 90.00
_symmetry_space_group_name_H-M 'C 1 c 1'
_symmetry_Int_Tables_number 9
_symmetry_space_group_name_Hall 'C -2yc'
loop_
_atom_site_label
_atom_site_fract_x
_atom_site_fract_y
_atom_site_fract_z
_atom_site_occupancy
Zn1 0.000 0.090 0.000 1
Zn2 0.395 0.309 0.277 1
P1 0.073 0.236 0.388 1
P2 0.087 0.491 0.521 1
P3 0.308 0.016 0.139 1
P4 0.313 0.281 0.754 1
O1 0.006 0.346 0.462 1
O2 0.028 0.337 0.991 1
O3 0.033 0.049 0.403 1
O4 0.138 0.248 0.786 1
O5 0.173 0.008 0.574 1
O6 0.255 0.288 0.372 1
O7 0.273 0.462 0.539 1
O8 0.278 0.146 0.203 1
O9 0.349 0.171 0.676 1
O10 0.364 0.460 0.734 1
O11 0.451 0.193 0.817 1
O12 0.492 0.061 0.102 1
```

Top 8 peaks for 2θ = 10–90°, sorted by position:
- 2θ 21.2, I 35, hkl 0 0 4
- 2θ 22.9, I 37, hkl 2 0 0
- 2θ 24.9, I 69, hkl 2 0 -2
- 2θ 25.3, I 100, hkl 0 2 2
- 2θ 25.5, I 36, hkl 2 0 2
- 2θ 27.0, I 31, hkl 1 1 4
- 2θ 30.9, I 23, hkl 1 1 -5
- 2θ 31.5, I 25, hkl 1 1 5

=====

# 3
Simulated powder X-ray diffraction pattern of Zr3CdHg3 for Cu Kα X-rays, from a crystal structure in Alexandria, relaxed with GGA-PBE.

Crystal structure
```
data_Zr3CdHg3
_chemical_formula_sum 'Zr6 Cd2 Hg6'
_cell_length_a 8.4696
_cell_length_b 8.4696
_cell_length_c 5.0446
_cell_angle_alpha 90.00
_cell_angle_beta 90.00
_cell_angle_gamma 120.00
_symmetry_space_group_name_H-M 'P 63/m'
_symmetry_Int_Tables_number 176
_symmetry_space_group_name_Hall '-P 6c'
loop_
_atom_site_label
_atom_site_fract_x
_atom_site_fract_y
_atom_site_fract_z
_atom_site_occupancy
Zr1 0.1055 0.4636 0.2500 1
Cd1 0.3333 0.6667 0.7500 1
Hg1 0.0453 0.2498 0.7500 1
```

Top 8 peaks for 2θ = 10–90°, sorted by position:
- 2θ 32.3, I 23, hkl 2 1 0
- 2θ 35.6, I 25, hkl 0 0 2
- 2θ 37.0, I 100, hkl 2 1 1
- 2θ 48.8, I 15, hkl 2 1 2
- 2θ 57.6, I 17, hkl 1 4 0
- 2θ 64.9, I 19, hkl 2 1 3
- 2θ 69.6, I 19, hkl 1 4 2
- 2θ 70.4, I 14, hkl 4 2 1

=====

# 4
Simulated powder X-ray diffraction pattern of Li3Th2Se5 for Cu Kα X-rays, from a crystal structure in Alexandria, relaxed with GGA-PBE.

Crystal structure
```
data_Li3Th2Se5
_chemical_formula_sum 'Li6 Th4 Se10'
_cell_length_a 14.046
_cell_length_b 3.964
_cell_length_c 10.100
_cell_angle_alpha 90.00
_cell_angle_beta 124.57
_cell_angle_gamma 90.00
_symmetry_space_group_name_H-M 'C 1 2/m 1'
_symmetry_Int_Tables_number 12
_symmetry_space_group_name_Hall '-C 2y'
loop_
_atom_site_label
_atom_site_fract_x
_atom_site_fract_y
_atom_site_fract_z
_atom_site_occupancy
Li1 0.000 0.000 0.000 1
Li2 0.132 0.500 0.388 1
Th1 0.169 0.000 0.754 1
Se1 0.000 0.500 0.500 1
Se2 0.110 0.500 0.919 1
Se3 0.193 0.000 0.292 1
```

Top 8 peaks for 2θ = 10–90°, sorted by position:
- 2θ 12.8, I 100, hkl 2 0 -1
- 2θ 21.4, I 40, hkl 0 0 2
- 2θ 29.0, I 37, hkl 1 1 -2
- 2θ 30.7, I 94, hkl 3 1 -2
- 2θ 32.4, I 55, hkl 3 1 0
- 2θ 32.9, I 34, hkl 2 0 2
- 2θ 42.1, I 30, hkl 6 0 -4
- 2θ 45.8, I 39, hkl 0 2 0

=====

# 5
Simulated powder X-ray diffraction pattern of LiMg2CdHg6 for Cu Kα X-rays, from a crystal structure in Alexandria, relaxed with GGA-PBE.

Crystal structure
```
data_LiMg2CdHg6
_chemical_formula_sum 'Li2 Mg4 Cd2 Hg12'
_cell_length_a 9.969
_cell_length_b 6.484
_cell_length_c 7.972
_cell_angle_alpha 90.00
_cell_angle_beta 111.92
_cell_angle_gamma 90.00
_symmetry_space_group_name_H-M 'C 1 2/m 1'
_symmetry_Int_Tables_number 12
_symmetry_space_group_name_Hall '-C 2y'
loop_
_atom_site_label
_atom_site_fract_x
_atom_site_fract_y
_atom_site_fract_z
_atom_site_occupancy
Li1 0.000 0.000 0.000 1
Mg1 0.134 0.500 0.196 1
Cd1 0.000 0.500 0.500 1
Hg1 0.127 0.250 0.824 1
Hg2 0.166 0.000 0.415 1
```

Top 8 peaks for 2θ = 10–90°, sorted by position:
- 2θ 18.4, I 42, hkl 2 0 -1
- 2θ 24.6, I 79, hkl 2 0 -2
- 2θ 26.3, I 44, hkl 2 0 1
- 2θ 30.1, I 80, hkl 0 2 1
- 2θ 33.3, I 100, hkl 2 2 -1
- 2θ 36.9, I 43, hkl 0 2 2
- 2θ 38.4, I 51, hkl 2 2 1
- 2θ 51.3, I 44, hkl 4 2 -3

=====

# 6
Simulated powder X-ray diffraction pattern of Na4HCl3 for Cu Kα X-rays, from a crystal structure in Alexandria, relaxed with GGA-PBE.

Crystal structure
```
data_Na4HCl3
_chemical_formula_sum 'Na8 H2 Cl6'
_cell_length_a 6.779
_cell_length_b 7.858
_cell_length_c 6.761
_cell_angle_alpha 90.00
_cell_angle_beta 109.41
_cell_angle_gamma 90.00
_symmetry_space_group_name_H-M 'P 1 2/c 1'
_symmetry_Int_Tables_number 13
_symmetry_space_group_name_Hall '-P 2yc'
loop_
_atom_site_label
_atom_site_fract_x
_atom_site_fract_y
_atom_site_fract_z
_atom_site_occupancy
Na1 0.227 0.113 0.005 1
Na2 0.247 0.365 0.491 1
H1 0.000 0.114 0.250 1
Cl1 0.000 0.373 0.750 1
Cl2 0.500 0.123 0.750 1
Cl3 0.500 0.370 0.250 1
```

Top 8 peaks for 2θ = 10–90°, sorted by position:
- 2θ 17.9, I 10, hkl 1 1 0
- 2θ 32.3, I 100, hkl 1 2 1
- 2θ 32.4, I 49, hkl 2 0 -2
- 2θ 46.2, I 16, hkl 0 4 0
- 2θ 46.4, I 47, hkl 2 0 2
- 2θ 46.5, I 32, hkl 1 2 -3
- 2θ 57.6, I 22, hkl 2 4 -2
- 2θ 77.1, I 17, hkl 3 2 3

=====

# 7
Simulated powder X-ray diffraction pattern of Rb3SiTe3 for Cu Kα X-rays, from a crystal structure in Alexandria, relaxed with GGA-PBE.

Crystal structure
```
data_Rb3SiTe3
_chemical_formula_sum 'Rb12 Si4 Te12'
_cell_length_a 14.636
_cell_length_b 5.163
_cell_length_c 15.784
_cell_angle_alpha 90.00
_cell_angle_beta 90.00
_cell_angle_gamma 90.00
_symmetry_space_group_name_H-M 'P n m a'
_symmetry_Int_Tables_number 62
_symmetry_space_group_name_Hall '-P 2ac 2n'
loop_
_atom_site_label
_atom_site_fract_x
_atom_site_fract_y
_atom_site_fract_z
_atom_site_occupancy
Rb1 0.083 0.250 0.100 1
Rb2 0.128 0.750 0.477 1
Rb3 0.234 0.750 0.786 1
Si1 0.060 0.250 0.704 1
Te1 0.011 0.250 0.327 1
Te2 0.091 0.250 0.865 1
Te3 0.214 0.250 0.622 1
```

Top 8 peaks for 2θ = 10–90°, sorted by position:
- 2θ 24.9, I 52, hkl 3 0 3
- 2θ 25.8, I 100, hkl 3 1 1
- 2θ 27.6, I 36, hkl 3 1 2
- 2θ 29.1, I 33, hkl 1 1 4
- 2θ 30.4, I 44, hkl 4 1 1
- 2θ 31.0, I 93, hkl 2 1 4
- 2θ 34.8, I 64, hkl 0 2 0
- 2θ 49.9, I 35, hkl 3 0 8

=====

# 8
Simulated powder X-ray diffraction pattern of LiTbBi2Se4 for Cu Kα X-rays, from a crystal structure in Alexandria, relaxed with GGA-PBE.

Crystal structure
```
data_LiTbBi2Se4
_chemical_formula_sum 'Li1 Tb1 Bi2 Se4'
_cell_length_a 7.715
_cell_length_b 4.065
_cell_length_c 7.740
_cell_angle_alpha 90.00
_cell_angle_beta 107.95
_cell_angle_gamma 90.00
_symmetry_space_group_name_H-M 'P 1 2/m 1'
_symmetry_Int_Tables_number 10
_symmetry_space_group_name_Hall '-P 2y'
loop_
_atom_site_label
_atom_site_fract_x
_atom_site_fract_y
_atom_site_fract_z
_atom_site_occupancy
Li1 0.000 0.000 0.000 1
Tb1 0.500 0.500 0.500 1
Bi1 0.000 0.000 0.500 1
Bi2 0.500 0.500 0.000 1
Se1 0.117 0.500 0.276 1
Se2 0.388 0.000 0.712 1
```

Top 8 peaks for 2θ = 10–90°, sorted by position:
- 2θ 12.0, I 43, hkl 0 0 1
- 2θ 14.2, I 22, hkl 1 0 -1
- 2θ 24.2, I 56, hkl 2 0 0
- 2θ 25.0, I 40, hkl 1 1 0
- 2θ 32.3, I 100, hkl 1 1 -2
- 2θ 37.7, I 45, hkl 1 1 2
- 2θ 43.2, I 31, hkl 3 1 0
- 2θ 48.1, I 22, hkl 4 0 -2